For MgTi2Ni2O6, a cell relaxed with PBE+U gives the theoretical powder X-ray diffraction pattern in this record (copper Kα).
Kinematic intensities with the Lorentz-polarization factor, no thermal factor.

Most intense lines, 2θ = 10–90°, in order of falling intensity:
2θ (°)  Rel. int.
30.89  100
43.53  66
34.77  58
47.21  45
35.10  39
36.12  39
35.40  35
57.01  27
54.04  26
20.68  23

Crystal structure
Lattice parameters (Å, degrees): 5.1281 5.3174 5.4297 109.83 104.10 112.65
Positions (direct):
Mg (0.0000, 0.0000, 0.0000)
Ti (0.3804, 0.7465, 0.1902)
Ti (0.7192, 0.4797, 0.3955)
Ni (0.1720, 0.3804, 0.6165)
Ni (0.5758, 0.1606, 0.7738)
O (0.0965, 0.5871, 0.3632)
O (0.3574, 0.1522, 0.3985)
O (0.3767, 0.3492, 0.0069)
O (0.6353, 0.0028, 0.0719)
O (0.7305, 0.8763, 0.5664)
O (0.9506, 0.5683, 0.8295)